Diffraction record for Pm4Tc3C5. The PXRD pattern is simulated, not measured: it uses a crystal structure in Alexandria, relaxed with GGA-PBE and Cu Ka.
No peak broadening, texture or thermal motion is included.

Principal peaks in the range 2θ from 10° to 90°, most intense first:
two_theta	Rel. int.	(hkl)
31.90	100	3 1 -1
33.55	99	1 1 2
30.36	57	4 0 -2
37.76	49	4 0 1
27.63	43	2 0 -3
46.51	35	0 2 0
36.11	34	1 1 -3
24.87	27	1 1 -1

Structural model:
```
data_Pm4Tc3C5
_space_group_name_H-M_alt 'C 1 2/m 1'
_space_group_IT_number 12
_cell_length_a 12.0981
_cell_length_b 3.9058
_cell_length_c 9.7869
_cell_angle_alpha 90.00
_cell_angle_beta 113.94
_cell_angle_gamma 90.00
loop_
_space_group_symop_operation_xyz
'x,y,z'
'-x,-y,-z'
'-x,y,-z'
'x,-y,z'
'x+1/2,y+1/2,z'
'-x+1/2,-y+1/2,-z'
'-x+1/2,y+1/2,-z'
'x+1/2,-y+1/2,z'
loop_
_atom_site_label
_atom_site_fract_x
_atom_site_fract_y
_atom_site_fract_z
Pm1 0.1090 0.0000 0.4134
Pm2 0.2375 0.5000 0.1646
Tc1 0.0000 0.0000 0.0000
Tc2 0.0474 0.5000 0.8246
C1 0.0000 0.5000 0.0000
C2 0.1184 0.5000 0.6733
C3 0.1994 0.5000 0.6106
```

Diffraction record for PmU2TcC4. The PXRD pattern is simulated, not measured: it uses a crystal structure in Alexandria, relaxed with GGA-PBE and Cu Ka.
No peak broadening, texture or thermal motion is included.

Principal peaks in the range 2θ from 10° to 90°, most intense first:
two_theta	Rel. int.	(hkl)
30.28	100	1 1 2
37.42	78	1 3 2
30.54	61	0 4 0
27.83	54	0 2 3
31.13	26	0 0 4
49.04	23	1 5 2
47.58	22	1 1 5
42.24	20	0 2 5

Structural model:
```
data_PmU2TcC4
_space_group_name_H-M_alt 'C m c m'
_space_group_IT_number 63
_space_group_name_Hall '-C 2c 2'
_cell_length_a 3.5995
_cell_length_b 11.7081
_cell_length_c 11.4926
_cell_angle_alpha 90.00
_cell_angle_beta 90.00
_cell_angle_gamma 90.00
loop_
_atom_site_label
_atom_site_fract_x
_atom_site_fract_y
_atom_site_fract_z
Pm1 0.0000 0.1166 0.2500
U1 0.0000 0.3714 0.0461
Tc1 0.0000 0.1455 0.7500
C1 0.0000 0.0000 0.0000
C2 0.0000 0.2582 0.6170
C3 0.0000 0.4429 0.2500
```

Diffraction record for Pm4TeC. The PXRD pattern is simulated, not measured: it uses a crystal structure in Alexandria, relaxed with GGA-PBE and Cu Ka.
No peak broadening, texture or thermal motion is included.

Principal peaks in the range 2θ from 10° to 90°, most intense first:
two_theta	Rel. int.	(hkl)
30.68	100	2 4 -1
32.71	79	1 3 1
30.34	63	0 4 1
30.78	58	1 1 -2
35.97	49	3 1 0
28.38	49	3 1 -1
37.44	48	4 0 -2
28.09	31	2 0 -2

Structural model:
```
data_Pm4TeC
_space_group_name_H-M_alt 'C 1 2/c 1'
_space_group_IT_number 15
_cell_length_a 9.7652
_cell_length_b 14.6637
_cell_length_c 6.3569
_cell_angle_alpha 90.00
_cell_angle_beta 128.87
_cell_angle_gamma 90.00
loop_
_space_group_symop_operation_xyz
'x,y,z'
'-x,-y,-z'
'-x,y,-z+1/2'
'x,-y,z+1/2'
'x+1/2,y+1/2,z'
'-x+1/2,-y+1/2,-z'
'-x+1/2,y+1/2,-z+1/2'
'x+1/2,-y+1/2,z+1/2'
loop_
_atom_site_label
_atom_site_fract_x
_atom_site_fract_y
_atom_site_fract_z
Pm1 0.1396 0.1930 0.1124
Pm2 0.2046 0.0472 0.6503
Te1 0.0000 0.3781 0.7500
C1 0.0000 0.0727 0.7500
```

Diffraction record for Pm4TeC. The PXRD pattern is simulated, not measured: it uses a crystal structure in Alexandria, relaxed with GGA-PBE and Cu Ka.
No peak broadening, texture or thermal motion is included.

Principal peaks in the range 2θ from 10° to 90°, most intense first:
two_theta	Rel. int.	(hkl)
32.46	100	2 4 -1
29.58	64	0 4 1
31.19	45	1 3 1
28.22	37	2 0 -2
31.86	27	3 1 -1
48.87	27	2 4 -3
58.34	23	4 0 -4
33.36	22	1 5 0

Structural model:
```
data_Pm4TeC
_space_group_name_H-M_alt 'C 1 2/c 1'
_space_group_IT_number 15
_cell_length_a 8.6470
_cell_length_b 14.4447
_cell_length_c 6.5324
_cell_angle_alpha 90.00
_cell_angle_beta 122.49
_cell_angle_gamma 90.00
loop_
_space_group_symop_operation_xyz
'x,y,z'
'-x,-y,-z'
'-x,y,-z+1/2'
'x,-y,z+1/2'
'x+1/2,y+1/2,z'
'-x+1/2,-y+1/2,-z'
'-x+1/2,y+1/2,-z+1/2'
'x+1/2,-y+1/2,z+1/2'
loop_
_atom_site_label
_atom_site_fract_x
_atom_site_fract_y
_atom_site_fract_z
Pm1 0.1387 0.2022 0.1557
Pm2 0.2109 0.0497 0.7012
Te1 0.0000 0.3892 0.7500
C1 0.0000 0.0680 0.2500
```

Diffraction record for Pm8TeC4. The PXRD pattern is simulated, not measured: it uses a crystal structure in Alexandria, relaxed with GGA-PBE and Cu Ka.
No peak broadening, texture or thermal motion is included.

Principal peaks in the range 2θ from 10° to 90°, most intense first:
two_theta	Rel. int.	(hkl)
27.51	100	2 2 2
31.88	44	4 0 0
45.70	41	4 4 0
41.80	35	5 1 1
54.18	28	6 2 2
34.82	22	3 3 1
58.71	16	5 5 1
13.66	15	1 1 1

Structural model:
```
data_Pm8TeC4
_space_group_name_H-M_alt 'F -4 3 m'
_space_group_IT_number 216
_space_group_name_Hall 'F -4 2 3'
_cell_length_a 11.2301
_cell_length_b 11.2301
_cell_length_c 11.2301
_cell_angle_alpha 90.00
_cell_angle_beta 90.00
_cell_angle_gamma 90.00
loop_
_atom_site_label
_atom_site_fract_x
_atom_site_fract_y
_atom_site_fract_z
Pm1 0.1025 0.1025 0.3975
Pm2 0.1407 0.1407 0.8593
Te1 0.2500 0.2500 0.2500
C1 0.1284 0.1284 0.6284
```

Diffraction record for PmThC. The PXRD pattern is simulated, not measured: it uses a crystal structure in Alexandria, relaxed with GGA-PBE and Cu Ka.
No peak broadening, texture or thermal motion is included.

Principal peaks in the range 2θ from 10° to 90°, most intense first:
two_theta	Rel. int.	(hkl)
31.56	100	1 1 1
31.47	92	2 0 -1
27.69	51	0 0 2
49.96	39	0 2 0
39.91	30	1 1 -2
58.15	27	3 1 2
28.24	27	1 1 0
60.30	27	2 2 -1

Structural model:
```
data_PmThC
_space_group_name_H-M_alt 'P 1 21/m 1'
_space_group_IT_number 11
_cell_length_a 6.3292
_cell_length_b 3.6479
_cell_length_c 6.4422
_cell_angle_alpha 90.00
_cell_angle_beta 90.28
_cell_angle_gamma 90.00
loop_
_space_group_symop_operation_xyz
'x,y,z'
'-x,-y,-z'
'-x,y+1/2,-z'
'x,-y+1/2,z'
loop_
_atom_site_label
_atom_site_fract_x
_atom_site_fract_y
_atom_site_fract_z
Pm1 0.0840 0.2500 0.2189
Th1 0.4125 0.2500 0.7735
C1 0.2669 0.7500 0.9936
```